Theoretical powder diffraction line list
Compound: EuSiO3
Radiation: Cu Kα (weighted mean of Kα1 and Kα2)
Structure: a crystal structure in the Materials Project, relaxed with GGA-PBE
Neutral-atom scattering factors, no anomalous dispersion.

Top 10 peaks for 10 to 90 degrees two-theta, low angle first:
3.718 Å, rel. 49; 2.629 Å, rel. 100; 2.146 Å, rel. 40; 1.859 Å, rel. 33; 1.663 Å, rel. 23; 1.518 Å, rel. 38; 1.314 Å, rel. 20; 1.239 Å, rel. 11; 1.176 Å, rel. 17; 1.121 Å, rel. 13

```
5
Lattice="3.718 0.000 0.000 0.000 3.718 0.000 0.000 0.000 3.718" Properties=species:S:1:pos:R:3 pbc="T T T"
Eu 0.000 0.000 0.000
Si 1.859 1.859 1.859
O 0.000 1.859 1.859
O 1.859 0.000 1.859
O 1.859 1.859 0.000
```



Theoretical powder diffraction line list
Compound: SmEu2TaO6
Radiation: Cu Kα (weighted mean of Kα1 and Kα2)
Structure: a crystal structure in the Materials Project, relaxed with GGA-PBE
Neutral-atom scattering factors, no anomalous dispersion.

Top 10 peaks for 10 to 90 degrees two-theta, low angle first:
4.912 Å, rel. 1; 4.254 Å, rel. 1; 3.008 Å, rel. 100; 2.456 Å, rel. 1; 2.127 Å, rel. 28; 1.737 Å, rel. 41; 1.504 Å, rel. 18; 1.345 Å, rel. 18; 1.228 Å, rel. 6; 1.137 Å, rel. 22

```
10
Lattice="0.000 4.254 4.254 4.254 0.000 4.254 4.254 4.254 0.000" Properties=species:S:1:pos:R:3 pbc="T T T"
Sm 0.000 0.000 0.000
Eu 2.127 2.127 2.127
Eu 6.381 6.381 6.381
Ta 4.254 4.254 4.254
O 4.254 4.254 2.262
O 4.254 2.262 4.254
O 6.246 4.254 4.254
O 2.262 4.254 4.254
O 4.254 6.246 4.254
O 4.254 4.254 6.246
```



Theoretical powder diffraction line list
Compound: SmEuTi4O12
Radiation: Cu Kα (weighted mean of Kα1 and Kα2)
Structure: a crystal structure in the Materials Project, relaxed with GGA-PBE
Neutral-atom scattering factors, no anomalous dispersion.

Top 10 peaks for 10 to 90 degrees two-theta, low angle first:
4.470 Å, rel. 100; 2.743 Å, rel. 29; 2.734 Å, rel. 57; 2.338 Å, rel. 37; 2.327 Å, rel. 18; 2.235 Å, rel. 17; 1.940 Å, rel. 26; 1.774 Å, rel. 16; 1.582 Å, rel. 22; 1.367 Å, rel. 14

```
18
Lattice="5.486 0.000 0.000 0.000 5.486 0.000 0.000 0.000 7.708" Properties=species:S:1:pos:R:3 pbc="T T T"
Sm 0.000 0.000 0.000
Eu 2.743 2.743 3.854
Ti 0.000 2.743 1.931
Ti 0.000 2.743 5.777
Ti 2.743 0.000 1.931
Ti 2.743 0.000 5.777
O 0.000 2.743 0.000
O 0.000 2.743 3.854
O 1.365 1.365 1.918
O 1.365 1.365 5.790
O 1.365 4.121 1.918
O 1.365 4.121 5.790
O 2.743 0.000 0.000
O 2.743 0.000 3.854
O 4.121 1.365 1.918
O 4.121 1.365 5.790
O 4.121 4.121 1.918
O 4.121 4.121 5.790
```



Theoretical powder diffraction line list
Compound: Eu2Sn2O7
Radiation: Cu Kα (weighted mean of Kα1 and Kα2)
Structure: a crystal structure in the Materials Project, relaxed with GGA-PBE
Neutral-atom scattering factors, no anomalous dispersion.

Top 10 peaks for 10 to 90 degrees two-theta, low angle first:
6.153 Å, rel. 1; 3.076 Å, rel. 100; 2.664 Å, rel. 34; 2.445 Å, rel. 3; 1.884 Å, rel. 48; 1.607 Å, rel. 45; 1.538 Å, rel. 11; 1.332 Å, rel. 7; 1.222 Å, rel. 19; 1.192 Å, rel. 15

```
22
Lattice="0.000 5.329 5.329 5.329 0.000 5.329 5.329 5.329 0.000" Properties=species:S:1:pos:R:3 pbc="T T T"
Eu 0.000 0.000 0.000
Eu 2.664 2.664 0.000
Eu 2.664 0.000 2.664
Eu 0.000 2.664 2.664
Sn 5.329 2.664 2.664
Sn 2.664 5.329 2.664
Sn 2.664 2.664 5.329
Sn 5.329 5.329 5.329
O 1.332 1.332 1.332
O 3.996 3.996 1.765
O 3.996 1.765 3.996
O 6.228 3.996 3.996
O 6.661 6.661 4.429
O 6.661 4.429 6.661
O 8.893 6.661 6.661
O 1.765 3.996 3.996
O 3.996 6.228 3.996
O 3.996 3.996 6.228
O 4.429 6.661 6.661
O 6.661 8.893 6.661
O 6.661 6.661 8.893
O 9.325 9.325 9.325
```



Theoretical powder diffraction line list
Compound: SrEuTiSnO6
Radiation: Cu Kα (weighted mean of Kα1 and Kα2)
Structure: a crystal structure in the Materials Project, relaxed with GGA-PBE
Neutral-atom scattering factors, no anomalous dispersion.

Top 10 peaks for 10 to 90 degrees two-theta, low angle first:
4.640 Å, rel. 13; 2.842 Å, rel. 100; 2.423 Å, rel. 9; 2.320 Å, rel. 8; 2.009 Å, rel. 33; 1.844 Å, rel. 4; 1.641 Å, rel. 40; 1.421 Å, rel. 20; 1.271 Å, rel. 18; 1.160 Å, rel. 7

```
10
Lattice="0.000 4.019 4.019 4.019 0.000 4.019 4.019 4.019 0.000" Properties=species:S:1:pos:R:3 pbc="T T T"
Sr 0.000 0.000 0.000
Eu 4.019 4.019 4.019
Ti 2.009 2.009 2.009
Sn 6.028 6.028 6.028
O 2.009 2.009 0.044
O 2.009 0.044 2.009
O 3.975 2.009 2.009
O 0.044 2.009 2.009
O 2.009 3.975 2.009
O 2.009 2.009 3.975
```



Theoretical powder diffraction line list
Compound: SrEuZrSnO6
Radiation: Cu Kα (weighted mean of Kα1 and Kα2)
Structure: a crystal structure in the Materials Project, relaxed with GGA-PBE
Neutral-atom scattering factors, no anomalous dispersion.

Top 10 peaks for 10 to 90 degrees two-theta, low angle first:
4.791 Å, rel. 6; 2.934 Å, rel. 100; 2.502 Å, rel. 4; 2.395 Å, rel. 3; 2.074 Å, rel. 32; 1.694 Å, rel. 41; 1.467 Å, rel. 20; 1.312 Å, rel. 18; 1.198 Å, rel. 7; 1.109 Å, rel. 22

```
10
Lattice="0.000 4.149 4.149 4.149 0.000 4.149 4.149 4.149 0.000" Properties=species:S:1:pos:R:3 pbc="T T T"
Sr 0.000 0.000 0.000
Eu 4.149 4.149 4.149
Zr 2.074 2.074 2.074
Sn 6.223 6.223 6.223
O 6.223 6.223 4.164
O 6.223 4.164 6.223
O 8.283 6.223 6.223
O 4.164 6.223 6.223
O 6.223 8.283 6.223
O 6.223 6.223 8.283
```



Theoretical powder diffraction line list
Compound: EuZr2SnO6
Radiation: Cu Kα (weighted mean of Kα1 and Kα2)
Structure: a crystal structure in the Materials Project, relaxed with GGA-PBE
Neutral-atom scattering factors, no anomalous dispersion.

Top 10 peaks for 10 to 90 degrees two-theta, low angle first:
2.950 Å, rel. 90; 2.939 Å, rel. 89; 2.901 Å, rel. 100; 2.114 Å, rel. 31; 2.059 Å, rel. 25; 2.044 Å, rel. 25; 1.709 Å, rel. 42; 1.686 Å, rel. 41; 1.680 Å, rel. 40; 1.333 Å, rel. 17

```
10
Lattice="4.088 -4.118 0.000 4.088 4.118 0.000 0.000 0.000 4.228" Properties=species:S:1:pos:R:3 pbc="T T T"
Eu 0.000 0.000 0.000
Zr 2.044 2.059 2.114
Zr 2.044 -2.059 2.114
Sn 4.088 0.000 0.000
O 2.044 2.059 0.000
O 4.088 2.608 2.114
O 2.563 0.000 2.114
O 2.044 -2.059 0.000
O 5.613 0.000 2.114
O 4.088 -2.608 2.114
```



Theoretical powder diffraction line list
Compound: SrEuO3
Radiation: Cu Kα (weighted mean of Kα1 and Kα2)
Structure: a crystal structure in the Materials Project, relaxed with GGA-PBE
Neutral-atom scattering factors, no anomalous dispersion.

Top 10 peaks for 10 to 90 degrees two-theta, low angle first:
4.384 Å, rel. 16; 3.100 Å, rel. 100; 2.192 Å, rel. 32; 1.960 Å, rel. 7; 1.790 Å, rel. 42; 1.550 Å, rel. 20; 1.386 Å, rel. 18; 1.265 Å, rel. 7; 1.172 Å, rel. 22; 1.096 Å, rel. 3

```
5
Lattice="4.384 0.000 0.000 0.000 4.384 0.000 0.000 0.000 4.384" Properties=species:S:1:pos:R:3 pbc="T T T"
Sr 0.000 0.000 0.000
Eu 2.192 2.192 2.192
O 0.000 2.192 2.192
O 2.192 0.000 2.192
O 2.192 2.192 0.000
```



Theoretical powder diffraction line list
Compound: SrEuTi4O12
Radiation: Cu Kα (weighted mean of Kα1 and Kα2)
Structure: a crystal structure in the Materials Project, relaxed with GGA-PBE
Neutral-atom scattering factors, no anomalous dispersion.

Top 10 peaks for 10 to 90 degrees two-theta, low angle first:
4.473 Å, rel. 100; 2.739 Å, rel. 100; 2.336 Å, rel. 56; 2.236 Å, rel. 17; 1.937 Å, rel. 50; 1.777 Å, rel. 24; 1.581 Å, rel. 38; 1.491 Å, rel. 18; 1.369 Å, rel. 28; 1.309 Å, rel. 18

```
18
Lattice="5.475 0.000 0.000 0.000 5.475 0.000 0.000 0.000 7.753" Properties=species:S:1:pos:R:3 pbc="T T T"
Sr 0.000 0.000 0.000
Eu 2.738 2.738 3.877
Ti 0.000 2.738 1.937
Ti 0.000 2.738 5.816
Ti 2.738 0.000 1.937
Ti 2.738 0.000 5.816
O 0.000 2.738 0.000
O 0.000 2.738 3.877
O 1.371 1.371 1.941
O 1.371 1.371 5.813
O 1.371 4.105 1.941
O 1.371 4.105 5.813
O 2.738 0.000 0.000
O 2.738 0.000 3.877
O 4.105 1.371 1.941
O 4.105 1.371 5.813
O 4.105 4.105 1.941
O 4.105 4.105 5.813
```



Theoretical powder diffraction line list
Compound: SrEuZrTiO6
Radiation: Cu Kα (weighted mean of Kα1 and Kα2)
Structure: a crystal structure in the Materials Project, relaxed with GGA-PBE
Neutral-atom scattering factors, no anomalous dispersion.

Top 10 peaks for 10 to 90 degrees two-theta, low angle first:
4.719 Å, rel. 10; 2.890 Å, rel. 100; 2.464 Å, rel. 7; 2.359 Å, rel. 12; 2.043 Å, rel. 34; 1.668 Å, rel. 39; 1.445 Å, rel. 20; 1.292 Å, rel. 17; 1.180 Å, rel. 7; 1.092 Å, rel. 21

```
10
Lattice="0.000 4.087 4.087 4.087 0.000 4.087 4.087 4.087 0.000" Properties=species:S:1:pos:R:3 pbc="T T T"
Sr 0.000 0.000 0.000
Eu 4.087 4.087 4.087
Zr 6.130 6.130 6.130
Ti 2.043 2.043 2.043
O 2.043 2.043 0.061
O 2.043 0.061 2.043
O 4.025 2.043 2.043
O 0.061 2.043 2.043
O 2.043 4.025 2.043
O 2.043 2.043 4.025
```



Theoretical powder diffraction line list
Compound: SrEuZr2O6
Radiation: Cu Kα (weighted mean of Kα1 and Kα2)
Structure: a crystal structure in the Materials Project, relaxed with GGA-PBE
Neutral-atom scattering factors, no anomalous dispersion.

Top 10 peaks for 10 to 90 degrees two-theta, low angle first:
2.953 Å, rel. 100; 2.915 Å, rel. 56; 2.116 Å, rel. 18; 2.065 Å, rel. 15; 2.058 Å, rel. 14; 1.712 Å, rel. 23; 1.690 Å, rel. 45; 1.478 Å, rel. 9; 1.475 Å, rel. 9; 1.120 Å, rel. 12

```
10
Lattice="4.116 -4.130 0.000 4.116 4.130 0.000 0.000 0.000 4.232" Properties=species:S:1:pos:R:3 pbc="T T T"
Sr 0.000 0.000 0.000
Eu 4.116 0.000 0.000
Zr 2.058 2.065 2.116
Zr 2.058 -2.065 2.116
O 2.058 2.065 0.000
O 4.116 2.560 2.116
O 2.557 0.000 2.116
O 2.058 -2.065 0.000
O 5.676 0.000 2.116
O 4.116 -2.560 2.116
```



Theoretical powder diffraction line list
Compound: SrEuZr4O12
Radiation: Cu Kα (weighted mean of Kα1 and Kα2)
Structure: a crystal structure in the Materials Project, relaxed with GGA-PBE
Neutral-atom scattering factors, no anomalous dispersion.

Top 10 peaks for 10 to 90 degrees two-theta, low angle first:
4.787 Å, rel. 71; 2.937 Å, rel. 100; 2.921 Å, rel. 51; 2.494 Å, rel. 24; 2.087 Å, rel. 18; 2.069 Å, rel. 16; 2.062 Å, rel. 18; 1.698 Å, rel. 24; 1.691 Å, rel. 24; 1.688 Å, rel. 21

```
18
Lattice="8.350 0.000 0.000 0.000 4.138 4.124 0.000 -4.138 4.124" Properties=species:S:1:pos:R:3 pbc="T T T"
Sr 0.000 0.000 0.000
Eu 4.175 0.000 3.893
Zr 2.062 -1.981 6.023
Zr 2.062 1.981 6.023
Zr 6.288 -1.981 6.023
Zr 6.288 1.981 6.023
O 0.000 -1.736 1.759
O 0.000 1.736 1.759
O 1.728 0.000 6.419
O 2.329 -1.648 3.946
O 2.329 1.648 3.946
O 2.416 0.000 1.766
O 4.175 -1.716 5.941
O 4.175 1.716 5.941
O 5.934 0.000 1.766
O 6.020 -1.648 3.946
O 6.020 1.648 3.946
O 6.621 0.000 6.419
```



Theoretical powder diffraction line list
Compound: Eu2Ta2O7
Radiation: Cu Kα (weighted mean of Kα1 and Kα2)
Structure: a crystal structure in the Materials Project, relaxed with GGA-PBE
Neutral-atom scattering factors, no anomalous dispersion.

Top 10 peaks for 10 to 90 degrees two-theta, low angle first:
3.541 Å, rel. 27; 3.387 Å, rel. 37; 3.243 Å, rel. 29; 3.072 Å, rel. 96; 2.912 Å, rel. 35; 2.852 Å, rel. 53; 2.797 Å, rel. 100; 1.991 Å, rel. 46; 1.965 Å, rel. 26; 1.581 Å, rel. 27

```
22
Lattice="1.992 -13.549 0.000 1.992 13.549 0.000 0.000 0.000 5.704" Properties=species:S:1:pos:R:3 pbc="T T T"
Eu 1.992 12.125 2.852
Eu 1.992 7.831 0.338
Eu 1.992 -7.831 3.190
Eu 1.992 -12.125 0.000
Ta 1.992 4.339 0.134
Ta 1.992 1.527 2.852
Ta 1.992 -1.527 5.704
Ta 1.992 -4.339 2.986
O 1.992 12.249 5.594
O 1.992 9.466 2.822
O 1.992 5.840 4.632
O 1.992 5.407 1.673
O 1.992 2.971 4.062
O 1.992 2.514 1.118
O 1.992 0.172 4.338
O 1.992 -0.172 1.486
O 1.992 -2.514 3.970
O 1.992 -2.971 1.210
O 1.992 -5.407 4.526
O 1.992 -5.840 1.780
O 1.992 -9.466 5.674
O 1.992 -12.249 2.742
```